For CsKTl, a structure optimized by DFT (PBE) gives the computed powder diffractogram in this record (Cu Kα (λ = 1.5418 Å)).

Most intense lines, 10° ≤ 2θ ≤ 80°, low angle first:
| Position (°2θ) | d [Å] | I (rel.) |
| --- | --- | --- |
| 12.07 | 7.331 | 33 |
| 13.46 | 6.581 | 66 |
| 20.12 | 4.413 | 34 |
| 22.63 | 3.929 | 100 |
| 24.28 | 3.665 | 36 |
| 28.95 | 3.084 | 85 |
| 31.73 | 2.820 | 24 |
| 35.22 | 2.548 | 53 |
| 37.34 | 2.408 | 25 |
| 47.70 | 1.907 | 26 |

Cell and atoms:
```
CsKTl
1.0
4.413 2.548 8.622
-4.413 2.548 8.622
0.000 -5.096 8.622
Cs K Tl
3 3 3
Direct
0.023 0.312 0.665 Cs
0.312 0.665 0.023 Cs
0.665 0.023 0.312 Cs
0.149 0.783 0.554 K
0.554 0.149 0.783 K
0.783 0.554 0.149 K
0.108 0.108 0.108 Tl
0.225 0.225 0.225 Tl
0.579 0.579 0.579 Tl
```